Li3Mg: simulated powder diffraction line list (CuKα), based on a PBE-relaxed structure.

Main lines, by intensity (2θ from 5° to 70°):
hkl 1 2 1, 38.32°, d 2.349, I 100.0
hkl 0 1 1, 18.92°, d 4.691, I 65.8
hkl 0 2 0, 17.86°, d 4.966, I 37.7
hkl 1 0 1, 33.58°, d 2.669, I 25.8
hkl 0 4 2, 50.21°, d 1.817, I 24.2
hkl 0 4 0, 36.18°, d 2.483, I 24.1
hkl 1 1 0, 30.34°, d 2.946, I 19.8
hkl 1 6 1, 66.48°, d 1.406, I 18.7
hkl 0 3 1, 31.83°, d 2.811, I 17.4
hkl 0 0 2, 33.68°, d 2.661, I 13.3

a b c (Å): 3.0844 9.9321 5.3218
angles (deg): 90.00 90.00 90.00
Space group Imm2 (No. 44)
Unique sites:
Li1 0.0000 0.0000 0.0000 [2 per cell]
Li2 0.0000 0.2499 0.3352 [4 per cell]
Mg1 0.0000 0.5000 0.9986 [2 per cell]

---

LiMg: simulated powder diffraction line list (CuKα), based on a PBE-relaxed structure.

Main lines, by intensity (2θ from 5° to 70°):
hkl 1 1 3, 37.05°, d 2.427, I 100.0
hkl 2 0 0, 36.69°, d 2.449, I 51.1
hkl 1 0 2, 21.80°, d 4.076, I 35.1
hkl 3 1 3, 66.31°, d 1.410, I 33.2
hkl 0 1 1, 26.91°, d 3.313, I 25.6
hkl 1 0 4, 30.42°, d 2.939, I 22.3
hkl 2 0 6, 52.86°, d 1.732, I 17.1
hkl 2 2 0, 67.00°, d 1.397, I 16.3
hkl 2 1 1, 46.08°, d 1.970, I 11.2
hkl 0 2 0, 53.92°, d 1.700, I 8.2

a b c (Å): 4.8996 3.4009 14.6921
angles (deg): 90.00 90.00 90.00
Space group Amm2 (No. 38)
Unique sites:
Li1 0.0000 0.0000 0.0000 [2 per cell]
Li2 0.0000 0.0000 0.3394 [2 per cell]
Li3 0.5000 0.0000 0.1705 [2 per cell]
Mg1 0.0000 0.0000 0.6698 [2 per cell]
Mg2 0.5000 0.0000 0.5084 [2 per cell]
Mg3 0.5000 0.0000 0.8326 [2 per cell]

---

LiMg: simulated powder diffraction line list (CuKα), based on a PBE-relaxed structure.

Main lines, by intensity (2θ from 5° to 70°):
hkl 1 1 2, 36.76°, d 2.445, I 100.0
hkl 0 1 1, 20.52°, d 4.328, I 44.0
hkl 1 0 1, 27.04°, d 3.298, I 30.4
hkl 0 2 0, 37.04°, d 2.427, I 24.8
hkl 0 0 4, 37.67°, d 2.388, I 22.5
hkl 0 1 3, 33.66°, d 2.662, I 21.8
hkl 1 3 2, 66.56°, d 1.405, I 16.3
hkl 0 2 4, 53.86°, d 1.702, I 15.5
hkl 1 1 6, 67.40°, d 1.389, I 14.3
hkl 1 2 1, 46.45°, d 1.955, I 13.1

a b c (Å): 3.5143 4.8547 9.5510
angles (deg): 90.00 90.00 90.00
Space group Imma (No. 74)
Unique sites:
Li1 0.0000 0.2500 0.1327 [4 per cell]
Mg1 0.0000 0.2500 0.6162 [4 per cell]

---

LiMg: simulated powder diffraction line list (CuKα), based on a PBE-relaxed structure.

Main lines, by intensity (2θ from 5° to 70°):
hkl 3 1 0, 37.27°, d 2.412, I 100.0
hkl 2 0 2, 36.25°, d 2.478, I 53.3
hkl 2 0 0, 16.89°, d 5.248, I 22.0
hkl 2 0 -2, 26.78°, d 3.328, I 20.5
hkl 1 1 0, 28.14°, d 3.171, I 18.5
hkl 2 2 2, 67.88°, d 1.381, I 16.8
hkl 5 1 2, 65.89°, d 1.418, I 16.6
hkl 0 0 1, 13.29°, d 6.661, I 11.2
hkl 5 1 -2, 51.44°, d 1.776, I 10.2
hkl 0 2 0, 55.22°, d 1.663, I 9.3

a b c (Å): 11.0601 3.3262 7.0195
angles (deg): 90.00 108.38 90.00
Space group Cm (No. 8)
Unique sites:
Li1 0.0000 0.0000 0.0000 [2 per cell]
Li2 0.0140 0.0000 0.4954 [2 per cell]
Li3 0.3510 0.0000 0.1746 [2 per cell]
Mg1 0.1720 0.5000 0.3163 [2 per cell]
Mg2 0.1724 0.5000 0.8419 [2 per cell]
Mg3 0.3508 0.0000 0.6627 [2 per cell]

---

LiMg: simulated powder diffraction line list (CuKα), based on a PBE-relaxed structure.

Main lines, by intensity (2θ from 5° to 70°):
hkl 1 1 1, 36.65°, d 2.452, I 100.0
hkl 0 0 1, 18.10°, d 4.902, I 55.6
hkl 1 1 0, 31.58°, d 2.833, I 27.1
hkl 0 2 0, 36.46°, d 2.464, I 20.3
hkl 2 2 0, 65.99°, d 1.416, I 20.0
hkl 1 1 2, 49.16°, d 1.853, I 14.8
hkl 0 2 2, 52.67°, d 1.738, I 13.6
hkl 1 3 1, 65.74°, d 1.421, I 13.5
hkl 0 2 1, 40.99°, d 2.202, I 12.9
hkl 2 2 1, 69.00°, d 1.361, I 7.5

a b c (Å): 3.4616 4.9287 4.9019
angles (deg): 90.00 90.00 90.00
Space group Cmmm (No. 65)
Unique sites:
Li1 0.0000 0.0000 0.0000 [2 per cell]
Mg1 0.0000 0.5000 0.5000 [2 per cell]

---

LiMg: simulated powder diffraction line list (CuKα), based on a PBE-relaxed structure.

Main lines, by intensity (2θ from 5° to 70°):
hkl 1 1 1, 38.26°, d 2.352, I 100.0
hkl 1 0 1, 24.12°, d 3.690, I 78.6
hkl 1 0 2, 37.72°, d 2.385, I 49.1
hkl 2 0 0, 35.62°, d 2.521, I 40.1
hkl 0 1 0, 29.25°, d 3.054, I 30.8
hkl 0 0 1, 16.37°, d 5.414, I 29.4
hkl 0 1 1, 33.70°, d 2.660, I 22.1
hkl 1 1 2, 48.43°, d 1.880, I 20.1
hkl 3 1 1, 65.73°, d 1.421, I 19.1
hkl 0 1 3, 59.49°, d 1.554, I 17.1

a b c (Å): 5.0413 3.0536 5.4144
angles (deg): 90.00 90.00 90.00
Space group Pmma (No. 51)
Unique sites:
Li1 0.2500 0.0000 0.1657 [2 per cell]
Mg1 0.2500 0.5000 0.6700 [2 per cell]

---

LiMg: simulated powder diffraction line list (CuKα), based on a PBE-relaxed structure.

Main lines, by intensity (2θ from 5° to 70°):
hkl 0 0 1, 8.69°, d 10.178, I 100.0
hkl 1 0 2, 37.54°, d 2.396, I 63.0
hkl 0 1 1, 34.17°, d 2.624, I 25.3
hkl 0 0 4, 35.27°, d 2.545, I 16.6
hkl 1 0 0, 32.99°, d 2.716, I 15.1
hkl 1 0 3, 42.65°, d 2.120, I 11.9
hkl 1 0 6, 64.80°, d 1.439, I 11.8
hkl 1 1 0, 58.91°, d 1.568, I 10.8
hkl 0 0 3, 26.27°, d 3.393, I 9.7
hkl 0 1 4, 49.06°, d 1.857, I 9.6

a b c (Å): 3.1356 3.1356 10.1784
angles (deg): 90.00 90.00 120.00
Space group P-3m1 (No. 164)
Unique sites:
Li1 0.3333 0.6667 0.3759 [2 per cell]
Mg1 0.3333 0.6667 0.8716 [2 per cell]